K4CoP2O8: computed X-ray powder pattern (Cu Kα X-rays), based on a structure optimized by DFT (PBE+U).
Neutral-atom scattering factors, no anomalous dispersion.

Top 8 peaks for 2θ from 10° to 90°, low angle first:
d_spacing	2theta	I_rel	index
4.797	18.50	28	1 0 1
4.535	19.57	22	0 1 1
3.667	24.27	23	1 -1 0
3.115	28.66	61	-1 1 1
3.019	29.59	100	1 1 2
2.707	33.09	51	2 0 1
2.690	33.31	48	0 2 1
2.298	39.21	48	2 1 -1

Crystal structure
Lattice parameters (Å, degrees): 5.567 5.824 7.350 87.07 78.15 80.98
Fractional positions:
K 0.138 0.184 0.354
K 0.233 0.720 0.000
K 0.767 0.280 0.000
K 0.862 0.816 0.646
Co 0.500 0.500 0.500
P 0.331 0.220 0.765
P 0.669 0.780 0.235
O 0.186 0.431 0.666
O 0.270 0.245 0.977
O 0.278 0.989 0.703
O 0.391 0.739 0.316
O 0.609 0.261 0.684
O 0.722 0.011 0.297
O 0.730 0.755 0.023
O 0.814 0.569 0.334